No. 1
This entry pairs a crystal structure of Th2Co3As3 with its computed powder X-ray diffraction pattern. Radiation: Cu Kα. Structure: a crystal structure in the Materials Project, relaxed with PBE.
Lines closer than 0.1° are merged.

a = 3.9777 Å, b = 4.0122 Å, c = 10.6265 Å
α = 100.51°, β = 90.26°, γ = 119.51°
Space group P1 (No. 1)
One atom of each set of equivalent atoms:
Th: 0.0000 0.0000 0.0000 [1 per cell]
Th: 0.4863 0.9918 0.4477 [1 per cell]
Co: 0.0963 0.2029 0.2832 [1 per cell]
Co: 0.2419 0.4931 0.7232 [1 per cell]
Co: 0.3899 0.7911 0.1631 [1 per cell]
As: 0.6046 0.2145 0.8117 [1 per cell]
As: 0.7434 0.4976 0.2245 [1 per cell]
As: 0.8803 0.7743 0.6353 [1 per cell]

Principal peaks in the range 10° ≤ 2θ ≤ 80°, low angle first:
| Position (°2θ) | d_spacing | I_rel |
| --- | --- | --- |
| 26.1 | 3.412 | 50 |
| 28.2 | 3.163 | 64 |
| 34.4 | 2.609 | 100 |
| 34.7 | 2.587 | 94 |
| 34.9 | 2.574 | 91 |
| 38.9 | 2.318 | 87 |
| 45.1 | 2.012 | 64 |
| 45.2 | 2.006 | 63 |
| 45.6 | 1.989 | 62 |
| 58.3 | 1.582 | 56 |



No. 2
This entry pairs a crystal structure of TlCoAs2 with its computed powder X-ray diffraction pattern. Radiation: Cu Kα. Structure: a crystal structure in the Materials Project, relaxed with PBE.
Lines closer than 0.1° are merged.

a = 6.7288 Å, b = 6.7288 Å, c = 6.7288 Å
α = 90.00°, β = 90.00°, γ = 90.00°
Space group Fm-3m (No. 225)
One atom of each set of equivalent atoms:
Tl: 0.0000 0.0000 0.0000 [4 per cell]
Co: 0.0000 0.0000 0.5000 [4 per cell]
As: 0.2500 0.2500 0.2500 [8 per cell]

Principal peaks in the range 10° ≤ 2θ ≤ 80°, low angle first:
| Position (°2θ) | d_spacing | I_rel |
| --- | --- | --- |
| 22.9 | 3.885 | 25 |
| 26.5 | 3.364 | 8 |
| 37.8 | 2.379 | 100 |
| 44.7 | 2.029 | 14 |
| 46.8 | 1.942 | 2 |
| 54.6 | 1.682 | 17 |
| 59.9 | 1.544 | 6 |
| 61.6 | 1.505 | 3 |
| 68.3 | 1.374 | 35 |
| 73.1 | 1.295 | 5 |



No. 3
This entry pairs a crystal structure of UCoAs2 with its computed powder X-ray diffraction pattern. Radiation: Cu Kα. Structure: a crystal structure in the Materials Project, relaxed with PBE.
Lines closer than 0.1° are merged.

a = 3.9915 Å, b = 3.9915 Å, c = 8.9185 Å
α = 90.00°, β = 90.00°, γ = 90.00°
Space group P4/nmm (No. 129, origin choice 2)
One atom of each set of equivalent atoms:
U: 0.2500 0.2500 0.2472 [2 per cell]
Co: 0.2500 0.7500 0.0000 [2 per cell]
As: 0.2500 0.2500 0.8436 [2 per cell]
As: 0.2500 0.7500 0.5000 [2 per cell]

Principal peaks in the range 10° ≤ 2θ ≤ 80°, low angle first:
| Position (°2θ) | d_spacing | I_rel |
| --- | --- | --- |
| 24.4 | 3.643 | 36 |
| 31.7 | 2.822 | 10 |
| 37.7 | 2.385 | 100 |
| 45.4 | 1.996 | 27 |
| 52.3 | 1.750 | 10 |
| 56.5 | 1.628 | 13 |
| 60.5 | 1.530 | 14 |
| 62.5 | 1.487 | 10 |
| 75.3 | 1.262 | 14 |
| 78.8 | 1.214 | 25 |



No. 4
This entry pairs a crystal structure of VCoAs with its computed powder X-ray diffraction pattern. Radiation: Cu Kα. Structure: a crystal structure in the Materials Project, relaxed with PBE.
Lines closer than 0.1° are merged.

a = 6.0101 Å, b = 3.7288 Å, c = 6.9525 Å
α = 90.00°, β = 90.00°, γ = 90.00°
Space group Pnma (No. 62)
One atom of each set of equivalent atoms:
V: 0.0280 0.2500 0.1788 [4 per cell]
Co: 0.1413 0.2500 0.5597 [4 per cell]
As: 0.2412 0.7500 0.3778 [4 per cell]

Principal peaks in the range 10° ≤ 2θ ≤ 80°, low angle first:
| Position (°2θ) | d_spacing | I_rel |
| --- | --- | --- |
| 29.7 | 3.008 | 27 |
| 38.5 | 2.341 | 85 |
| 40.7 | 2.218 | 100 |
| 46.1 | 1.968 | 53 |
| 47.2 | 1.925 | 20 |
| 48.7 | 1.871 | 38 |
| 48.8 | 1.864 | 51 |
| 52.7 | 1.736 | 38 |
| 53.6 | 1.711 | 22 |
| 74.7 | 1.271 | 26 |



No. 5
This entry pairs a crystal structure of Y2Co12As7 with its computed powder X-ray diffraction pattern. Radiation: Cu Kα. Structure: a crystal structure in the Materials Project, relaxed with PBE.
Lines closer than 0.1° are merged.

a = 9.3614 Å, b = 9.3614 Å, c = 3.7379 Å
α = 90.00°, β = 90.00°, γ = 120.00°
Space group P-6 (No. 174)
One atom of each set of equivalent atoms:
Y: 0.0000 0.0000 0.0000 [1 per cell]
Y: 0.3333 0.6667 0.5000 [1 per cell]
Co: 0.0396 0.7636 0.5000 [3 per cell]
Co: 0.0998 0.3827 0.0000 [3 per cell]
Co: 0.4424 0.2347 0.0000 [3 per cell]
Co: 0.5089 0.0562 0.5000 [3 per cell]
As: 0.0703 0.6227 0.0000 [3 per cell]
As: 0.2567 0.0389 0.5000 [3 per cell]
As: 0.6667 0.3333 0.5000 [1 per cell]

Principal peaks in the range 10° ≤ 2θ ≤ 80°, low angle first:
| Position (°2θ) | d_spacing | I_rel |
| --- | --- | --- |
| 33.2 | 2.702 | 9 |
| 38.0 | 2.370 | 100 |
| 41.2 | 2.190 | 15 |
| 44.7 | 2.027 | 11 |
| 47.2 | 1.927 | 30 |
| 48.7 | 1.869 | 28 |
| 51.3 | 1.782 | 9 |
| 51.7 | 1.769 | 29 |
| 55.2 | 1.665 | 15 |
| 73.7 | 1.285 | 19 |



No. 6
This entry pairs a crystal structure of Cr3As with its computed powder X-ray diffraction pattern. Radiation: Cu Kα. Structure: a crystal structure in the Materials Project, relaxed with PBE.
Lines closer than 0.1° are merged.

a = 4.5789 Å, b = 4.5789 Å, c = 4.5789 Å
α = 90.00°, β = 90.00°, γ = 90.00°
Space group Pm-3n (No. 223)
One atom of each set of equivalent atoms:
Cr: 0.0000 0.2500 0.5000 [6 per cell]
As: 0.0000 0.0000 0.0000 [2 per cell]

Principal peaks in the range 10° ≤ 2θ ≤ 80°, low angle first:
| Position (°2θ) | d_spacing | I_rel |
| --- | --- | --- |
| 27.5 | 3.238 | 8 |
| 39.4 | 2.289 | 48 |
| 44.2 | 2.048 | 88 |
| 48.7 | 1.869 | 100 |
| 56.9 | 1.619 | 1 |
| 64.3 | 1.448 | 2 |
| 71.4 | 1.322 | 3 |
| 74.8 | 1.270 | 15 |
| 78.1 | 1.224 | 46 |